No. 1
TeP4Se: simulated X-ray diffraction stick pattern (Cu Kα), based on a structure optimized by DFT (PBE).
Peak positions follow from Bragg's law for the DFT cell and can differ from measured ones.

Atomic structure:
Lattice parameters (Å, degrees): 6.652 7.198 8.110 106.46 100.85 94.06
Space group P1 (No. 1)
Asymmetric unit:
Te  0.000  0.000  0.000 [1 per cell]
Te  0.137  0.546  0.232 [1 per cell]
P  0.020  0.116  0.348 [1 per cell]
P  0.029  0.854  0.440 [1 per cell]
P  0.280  0.237  0.989 [1 per cell]
P  0.514  0.266  0.230 [1 per cell]
P  0.560  0.584  0.261 [1 per cell]
P  0.720  0.203  0.848 [1 per cell]
P  0.755  0.744  0.510 [1 per cell]
P  0.801  0.517  0.981 [1 per cell]
Se  0.374  0.166  0.437 [1 per cell]
Se  0.916  0.371  0.722 [1 per cell]

The 10 most intense peaks (10 to 90 degrees two-theta), sorted by position:
hkl 0 0 1, 2θ = 11.7°, I 56
hkl 1 0 0, 2θ = 13.7°, I 78
hkl 1 0 -1, 2θ = 15.9°, I 100
hkl 0 1 -2, 2θ = 23.1°, I 35
hkl 0 2 -1, 2θ = 25.1°, I 63
hkl 1 1 1, 2θ = 26.6°, I 40
hkl 1 -2 0, 2θ = 27.8°, I 43
hkl 1 -1 2, 2θ = 28.7°, I 53
hkl 0 1 2, 2θ = 30.2°, I 74
hkl 2 -1 1, 2θ = 32.1°, I 58

=====

No. 2
NaBrF: simulated X-ray diffraction stick pattern (Cu Kα), based on a structure optimized by DFT (PBE).
Peak positions follow from Bragg's law for the DFT cell and can differ from measured ones.

Atomic structure:
Lattice parameters (Å, degrees): 16.002 4.567 4.370 90.00 102.58 90.00
Space group C2/m (No. 12)
Asymmetric unit:
Na  0.222  0.000  0.228 [4 per cell]
Br  0.076  0.500  0.079 [4 per cell]
F  0.238  0.500  0.241 [4 per cell]

The 10 most intense peaks (10 to 90 degrees two-theta), sorted by position:
hkl 1 1 0, 2θ = 20.3°, I 100
hkl 0 0 1, 2θ = 20.8°, I 56
hkl 2 0 -1, 2θ = 21.5°, I 57
hkl 1 1 -1, 2θ = 28.3°, I 53
hkl 1 1 1, 2θ = 30.1°, I 18
hkl 6 0 0, 2θ = 34.5°, I 31
hkl 5 1 0, 2θ = 34.8°, I 25
hkl 0 2 0, 2θ = 39.5°, I 28
hkl 2 0 -2, 2θ = 41.4°, I 24
hkl 8 0 -1, 2θ = 46.8°, I 24

=====

No. 3
RbBa: simulated X-ray diffraction stick pattern (Cu Kα), based on a structure optimized by DFT (PBE).
Peak positions follow from Bragg's law for the DFT cell and can differ from measured ones.

Atomic structure:
Lattice parameters (Å, degrees): 7.514 13.061 9.167 90.00 90.00 90.00
Space group Imm2 (No. 44)
Asymmetric unit:
Rb  0.000  0.000  0.000 [2 per cell]
Rb  0.000  0.341  0.751 [4 per cell]
Ba  0.000  0.000  0.512 [2 per cell]
Ba  0.000  0.332  0.244 [4 per cell]

The 10 most intense peaks (10 to 90 degrees two-theta), sorted by position:
hkl 2 0 0, 2θ = 23.7°, I 100
hkl 1 1 2, 2θ = 23.7°, I 47
hkl 2 0 2, 2θ = 30.7°, I 9
hkl 0 4 2, 2θ = 33.7°, I 28
hkl 0 6 0, 2θ = 41.5°, I 15
hkl 3 3 0, 2θ = 41.6°, I 33
hkl 2 0 4, 2θ = 46.4°, I 24
hkl 1 7 2, 2θ = 54.5°, I 9
hkl 3 3 4, 2θ = 58.5°, I 12
hkl 5 3 0, 2θ = 65.7°, I 9

=====

No. 4
In2GePb2: simulated X-ray diffraction stick pattern (Cu Kα), based on a structure optimized by DFT (PBE).
Peak positions follow from Bragg's law for the DFT cell and can differ from measured ones.

Atomic structure:
Lattice parameters (Å, degrees): 7.407 7.407 5.235 90.00 90.00 90.00
Space group P4/mbm (No. 127)
Asymmetric unit:
In  0.142  0.358  0.000 [4 per cell]
Ge  0.000  0.000  0.000 [2 per cell]
Pb  0.176  0.676  0.500 [4 per cell]

The 10 most intense peaks (10 to 90 degrees two-theta), sorted by position:
hkl 2 0 0, 2θ = 24.0°, I 13
hkl 2 0 1, 2θ = 29.5°, I 20
hkl 2 1 1, 2θ = 32.0°, I 100
hkl 0 0 2, 2θ = 34.3°, I 30
hkl 3 1 0, 2θ = 38.4°, I 22
hkl 3 3 0, 2θ = 52.4°, I 24
hkl 4 1 1, 2θ = 54.0°, I 19
hkl 2 1 3, 2θ = 59.9°, I 17
hkl 5 2 1, 2θ = 70.8°, I 9
hkl 3 1 4, 2θ = 84.9°, I 10